[1]
Calculated powder XRD pattern
Compound: LaAl4SiAu2
Radiation: Cu Kα (weighted mean of Kα1 and Kα2)
Structure: a PBE-relaxed structure

The 6 most intense peaks (10° ≤ 2θ ≤ 90°), by angle:
2θ/deg	Rel. int.	(hkl)
23.14	41	1 1 1
29.07	65	2 0 0
29.86	100	1 1 2
41.57	55	2 2 0
48.87	41	1 1 4
52.02	43	3 1 2

```
data_LaAl4SiAu2
_symmetry_space_group_name_H-M 'P 4/n m m'
_symmetry_Int_Tables_number 129
_cell_length_a 6.1442
_cell_length_b 6.1442
_cell_length_c 8.2533
_cell_angle_alpha 90.00
_cell_angle_beta 90.00
_cell_angle_gamma 90.00
loop_
_symmetry_equiv_pos_as_xyz
'x,y,z'
'-x,-y,-z'
'-y+1/2,x,z'
'y+1/2,-x,-z'
'-x+1/2,-y+1/2,z'
'x+1/2,y+1/2,-z'
'y,-x+1/2,z'
'-y,x+1/2,-z'
'x+1/2,-y,-z'
'-x+1/2,y,z'
'-y,-x,-z'
'y,x,z'
'-x,y+1/2,-z'
'x,-y+1/2,z'
'y+1/2,x+1/2,-z'
'-y+1/2,-x+1/2,z'
loop_
_atom_site_label
_atom_site_fract_x
_atom_site_fract_y
_atom_site_fract_z
_atom_site_occupancy
La1 0.2500 0.7500 0.0000 1
Al1 0.0003 0.0003 0.3224 1
Si1 0.2500 0.2500 0.1491 1
Au1 0.2500 0.2500 0.8481 1
Au2 0.2500 0.7500 0.5000 1
```

[2]
Calculated powder XRD pattern
Compound: Tb3Ga5
Radiation: Cu Kα (weighted mean of Kα1 and Kα2)
Structure: a PBE-relaxed structure

The 6 most intense peaks (10° ≤ 2θ ≤ 90°), by angle:
2θ/deg	Rel. int.	(hkl)
33.18	79	3 2 1
35.56	100	1 2 2
36.31	75	4 2 0
37.10	85	0 4 0
37.59	82	3 0 2
41.38	66	1 3 2

```
data_Tb3Ga5
_symmetry_space_group_name_H-M 'P n m a'
_symmetry_Int_Tables_number 62
_cell_length_a 11.5092
_cell_length_b 9.6942
_cell_length_c 6.1215
_cell_angle_alpha 90.00
_cell_angle_beta 90.00
_cell_angle_gamma 90.00
loop_
_symmetry_equiv_pos_as_xyz
'x,y,z'
'-x,-y,-z'
'-x+1/2,-y,z+1/2'
'x+1/2,y,-z+1/2'
'x+1/2,-y+1/2,-z+1/2'
'-x+1/2,y+1/2,z+1/2'
'-x,y+1/2,-z'
'x,-y+1/2,z'
loop_
_atom_site_label
_atom_site_fract_x
_atom_site_fract_y
_atom_site_fract_z
_atom_site_occupancy
Tb1 0.0739 0.2500 0.1514 1
Tb2 0.1481 0.5095 0.6098 1
Ga1 0.0044 0.2500 0.6299 1
Ga2 0.0907 0.5535 0.1254 1
Ga3 0.2005 0.7500 0.8992 1
Ga4 0.2475 0.7500 0.3254 1
```